1.
Calculated X-ray diffraction stick pattern
Compound: TlZnPbO4
Radiation: Cu Kα, 1.54184 Å
Structure: DFT lattice parameters and positions (GGA-PBE)

Structural model:
```
data_TlZnPbO4
_chemical_formula_sum 'Tl4 Zn4 Pb4 O16'
_cell_length_a 6.6613
_cell_length_b 6.7051
_cell_length_c 9.4579
_cell_angle_alpha 90.00
_cell_angle_beta 90.00
_cell_angle_gamma 90.00
_space_group_name_H-M_alt 'I m m a'
_space_group_IT_number 74
_space_group_name_Hall '-I 2b 2'
loop_
_atom_site_label
_atom_site_fract_x
_atom_site_fract_y
_atom_site_fract_z
Tl1 0.2500 0.2500 0.2500
Zn1 0.0000 0.2500 0.6239
Pb1 0.0000 0.0000 0.0000
O1 0.0000 0.0054 0.2482
O2 0.2476 0.2500 0.0017
```

Largest 10 diffraction maxima, low angle first, 10° ≤ 2θ ≤ 90°:
- 2θ = 16.2°, d 5.458, I = 85, hkl 1 0 1
- 2θ = 31.4°, d 2.853, I = 100, hkl 1 2 1
- 2θ = 31.4°, d 2.845, I = 48, hkl 2 1 1
- 2θ = 32.7°, d 2.735, I = 39, hkl 0 2 2
- 2θ = 32.9°, d 2.723, I = 39, hkl 2 0 2
- 2θ = 38.1°, d 2.363, I = 55, hkl 2 2 0
- 2θ = 50.1°, d 1.822, I = 27, hkl 2 3 1
- 2θ = 50.2°, d 1.818, I = 21, hkl 1 0 5
- 2θ = 54.9°, d 1.671, I = 46, hkl 2 2 4
- 2θ = 65.4°, d 1.427, I = 19, hkl 0 2 6

---

2.
Calculated X-ray diffraction stick pattern
Compound: Tm2PbO
Radiation: Cu Kα, 1.54184 Å
Structure: DFT lattice parameters and positions (GGA-PBE)

Structural model:
```
data_Tm2PbO
_chemical_formula_sum 'Tm4 Pb2 O2'
_cell_length_a 4.4679
_cell_length_b 4.4679
_cell_length_c 8.7089
_cell_angle_alpha 90.00
_cell_angle_beta 90.00
_cell_angle_gamma 90.00
_space_group_name_H-M_alt 'P 4/n m m'
_space_group_IT_number 129
loop_
_space_group_symop_operation_xyz
'x,y,z'
'-x,-y,-z'
'-y+1/2,x,z'
'y+1/2,-x,-z'
'-x+1/2,-y+1/2,z'
'x+1/2,y+1/2,-z'
'y,-x+1/2,z'
'-y,x+1/2,-z'
'x+1/2,-y,-z'
'-x+1/2,y,z'
'-y,-x,-z'
'y,x,z'
'-x,y+1/2,-z'
'x,-y+1/2,z'
'y+1/2,x+1/2,-z'
'-y+1/2,-x+1/2,z'
loop_
_atom_site_label
_atom_site_fract_x
_atom_site_fract_y
_atom_site_fract_z
Tm1 0.2500 0.2500 0.1720
Tm2 0.2500 0.7500 0.5000
Pb1 0.2500 0.2500 0.8037
O1 0.2500 0.2500 0.4303
```

Largest 10 diffraction maxima, low angle first, 10° ≤ 2θ ≤ 90°:
- 2θ = 28.2°, d 3.159, I = 26, hkl 1 1 0
- 2θ = 30.1°, d 2.970, I = 79, hkl 1 1 1
- 2θ = 30.8°, d 2.903, I = 55, hkl 0 0 3
- 2θ = 35.1°, d 2.557, I = 100, hkl 1 1 2
- 2θ = 40.4°, d 2.234, I = 63, hkl 2 0 0
- 2θ = 51.6°, d 1.770, I = 53, hkl 2 0 3
- 2θ = 60.7°, d 1.525, I = 29, hkl 1 1 5
- 2θ = 67.5°, d 1.388, I = 24, hkl 2 2 3
- 2θ = 70.0°, d 1.344, I = 28, hkl 3 1 2
- 2θ = 89.3°, d 1.097, I = 22, hkl 3 1 5

---

3.
Calculated X-ray diffraction stick pattern
Compound: Tm4Pb2O
Radiation: Cu Kα, 1.54184 Å
Structure: DFT lattice parameters and positions (GGA-PBE)

Structural model:
```
data_Tm4Pb2O
_chemical_formula_sum 'Tm8 Pb4 O2'
_cell_length_a 6.3537
_cell_length_b 6.6207
_cell_length_c 9.0609
_cell_angle_alpha 90.00
_cell_angle_beta 110.09
_cell_angle_gamma 90.00
_space_group_name_H-M_alt 'P 1 21/m 1'
_space_group_IT_number 11
loop_
_space_group_symop_operation_xyz
'x,y,z'
'-x,-y,-z'
'-x,y+1/2,-z'
'x,-y+1/2,z'
loop_
_atom_site_label
_atom_site_fract_x
_atom_site_fract_y
_atom_site_fract_z
Tm1 0.0461 0.9998 0.2995
Tm2 0.3384 0.2500 0.0426
Tm3 0.4206 0.2500 0.6591
Pb1 0.2005 0.7500 0.0243
Pb2 0.3505 0.7500 0.6046
O1 0.1885 0.2500 0.7864
```

Largest 10 diffraction maxima, low angle first, 10° ≤ 2θ ≤ 90°:
- 2θ = 26.9°, d 3.310, I = 26, hkl 0 2 0
- 2θ = 29.7°, d 3.010, I = 34, hkl 1 0 2
- 2θ = 30.1°, d 2.969, I = 100, hkl 2 0 -2
- 2θ = 30.9°, d 2.895, I = 75, hkl 1 2 0
- 2θ = 31.5°, d 2.837, I = 62, hkl 0 0 3
- 2θ = 34.3°, d 2.612, I = 90, hkl 0 2 2
- 2θ = 34.4°, d 2.604, I = 71, hkl 1 2 -2
- 2θ = 35.1°, d 2.555, I = 36, hkl 2 0 1
- 2θ = 40.7°, d 2.217, I = 38, hkl 2 2 0
- 2θ = 51.5°, d 1.774, I = 32, hkl 3 2 -2

---

> Which formula does entry 3 have?

Tm4Pb2O